For AgTe5, a PBE-relaxed structure gives the computed powder XRD pattern in this record (Cu Kα X-rays).
No peak broadening, texture or thermal motion is included.

Atomic structure:
Lattice parameters (Å, degrees): 5.2977 13.9539 5.3029 90.00 110.12 90.00
Sites, in units of the cell vectors:
Ag 0.1244 0.2500 0.3741
Ag 0.8756 0.7500 0.6259
Te 0.1160 0.6008 0.3855
Te 0.1160 0.8992 0.3855
Te 0.3646 0.1017 0.1336
Te 0.3646 0.3983 0.1336
Te 0.3788 0.7500 0.1223
Te 0.6212 0.2500 0.8777
Te 0.6354 0.6017 0.8664
Te 0.6354 0.8983 0.8664
Te 0.8840 0.1008 0.6145
Te 0.8840 0.3992 0.6145

Largest 12 diffraction maxima, by intensity, 10° ≤ 2θ ≤ 80°:
hkl  two_theta  I/Imax
1 3 -1  28.10  100
2 3 0  41.14  71
1 0 1  29.42  48
3 0 -1  51.75  19
2 0 -2  41.57  18
1 6 1  49.37  18
0 6 0  38.72  17
3 3 1  68.52  15
3 6 -1  66.46  13
4 3 -2  75.56  11
2 6 -2  58.10  10
3 3 -3  67.76  7